Record 1
For MgZnHgTe3, a structure optimized by DFT (PBE) gives the computed XRD peak list in this record (Cu Kα, 1.54184 Å).
Intensities are scaled so that the largest is 100.

Most intense lines, 2θ = 10–90°, in order of falling intensity:
2θ (°)  I_rel  h k l
32.98  100.0  1 3 2
12.57  35.5  0 2 0
25.42  33.3  0 2 3
42.01  26.4  1 5 2
29.48  21.3  0 0 4
24.34  18.9  1 1 1
23.19  18.1  1 1 0
30.33  17.2  1 3 1
45.52  16.5  2 0 0
44.65  16.2  0 6 3
32.17  13.4  0 2 4
42.12  11.1  1 3 4

Cell and atoms:
```
data_MgZnHgTe3
_cell_length_a 3.986
_cell_length_b 14.084
_cell_length_c 12.120
_cell_angle_alpha 90.00
_cell_angle_beta 90.00
_cell_angle_gamma 90.00
_symmetry_space_group_name_H-M 'C m c m'
_symmetry_Int_Tables_number 63
_symmetry_space_group_name_Hall '-C 2c 2'
loop_
_atom_site_label
_atom_site_type_symbol
_atom_site_fract_x
_atom_site_fract_y
_atom_site_fract_z
Mg1 Mg 0.000 0.210 0.250
Zn1 Zn 0.000 0.000 0.000
Hg1 Hg 0.000 0.487 0.750
Te1 Te 0.000 0.134 0.750
Te2 Te 0.000 0.367 0.563
```

=====

Record 2
For Cu2Ag5, a structure optimized by DFT (PBE) gives the computed XRD peak list in this record (Cu Kα, 1.54184 Å).
Intensities are scaled so that the largest is 100.

Most intense lines, 2θ = 10–90°, in order of falling intensity:
2θ (°)  I_rel  h k l
38.80  100.0  1 0 7
44.37  39.4  1 1 0
77.93  23.5  2 1 7
35.16  15.3  1 0 5
64.55  12.1  2 0 0
66.27  11.3  1 1 14
60.96  9.8  1 1 12
73.61  9.8  1 0 19
39.60  9.3  0 0 12
46.56  8.7  0 0 14
83.26  5.9  2 0 14
78.45  4.7  2 0 12

Cell and atoms:
```
data_Cu2Ag5
_cell_length_a 2.887
_cell_length_b 2.887
_cell_length_c 27.310
_cell_angle_alpha 90.00
_cell_angle_beta 90.00
_cell_angle_gamma 90.00
_symmetry_space_group_name_H-M 'I 4/m m m'
_symmetry_Int_Tables_number 139
_symmetry_space_group_name_Hall '-I 4 2'
loop_
_atom_site_label
_atom_site_type_symbol
_atom_site_fract_x
_atom_site_fract_y
_atom_site_fract_z
Cu1 Cu 0.000 0.000 0.223
Ag1 Ag 0.000 0.000 0.078
Ag2 Ag 0.000 0.000 0.344
Ag3 Ag 0.000 0.000 0.500
```

=====

Record 3
For Dy4Er3Ni2Te2, a structure optimized by DFT (PBE) gives the computed XRD peak list in this record (Cu Kα, 1.54184 Å).
Intensities are scaled so that the largest is 100.

Most intense lines, 2θ = 10–90°, in order of falling intensity:
2θ (°)  I_rel  h k l
34.09  100.0  1 4 1
33.02  78.0  0 3 3
34.57  72.4  0 6 0
30.42  51.0  1 1 2
58.93  36.2  2 3 3
47.33  28.4  2 0 0
30.15  21.6  0 5 1
36.68  21.2  1 0 3
28.91  21.0  1 3 0
38.52  17.8  1 2 3
51.13  17.4  1 7 2
65.34  16.8  1 10 1

Cell and atoms:
```
data_Dy4Er3Ni2Te2
_cell_length_a 3.841
_cell_length_b 15.591
_cell_length_c 9.543
_cell_angle_alpha 90.00
_cell_angle_beta 90.00
_cell_angle_gamma 90.00
_symmetry_space_group_name_H-M 'I m m 2'
_symmetry_Int_Tables_number 44
_symmetry_space_group_name_Hall 'I 2 -2'
loop_
_atom_site_label
_atom_site_type_symbol
_atom_site_fract_x
_atom_site_fract_y
_atom_site_fract_z
Dy1 Dy 0.000 0.146 0.000
Dy2 Dy 0.000 0.185 0.649
Er1 Er 0.000 0.367 0.852
Er2 Er 0.000 0.500 0.270
Ni1 Ni 0.000 0.262 0.342
Te1 Te 0.000 0.000 0.504
Te2 Te 0.000 0.500 0.608
```

=====

Record 4
For HgBrCl, a structure optimized by DFT (PBE) gives the computed XRD peak list in this record (Cu Kα, 1.54184 Å).
Intensities are scaled so that the largest is 100.

Most intense lines, 2θ = 10–90°, in order of falling intensity:
2θ (°)  I_rel  h k l
22.46  100.0  1 0 1
15.36  46.1  0 0 2
31.49  42.3  1 0 3
33.86  41.9  1 1 2
43.68  41.2  1 1 4
48.97  26.2  2 1 1
26.19  23.7  1 0 2
42.92  22.7  2 0 0
54.19  18.8  2 1 3
44.78  17.6  1 0 5
79.17  14.5  3 1 4
45.84  12.6  2 0 2

Cell and atoms:
```
data_HgBrCl
_cell_length_a 4.215
_cell_length_b 4.215
_cell_length_c 11.536
_cell_angle_alpha 90.00
_cell_angle_beta 90.00
_cell_angle_gamma 90.00
_symmetry_space_group_name_H-M 'P -4 m 2'
_symmetry_Int_Tables_number 115
_symmetry_space_group_name_Hall 'P -4 -2'
loop_
_atom_site_label
_atom_site_type_symbol
_atom_site_fract_x
_atom_site_fract_y
_atom_site_fract_z
Hg1 Hg 0.000 0.000 0.000
Hg2 Hg 0.500 0.500 0.500
Br1 Br 0.000 0.500 0.143
Cl1 Cl 0.000 0.500 0.625
```

=====

Record 5
For Dy2Ho2InCu2Ge4, a structure optimized by DFT (PBE) gives the computed XRD peak list in this record (Cu Kα, 1.54184 Å).
Intensities are scaled so that the largest is 100.

Most intense lines, 2θ = 10–90°, in order of falling intensity:
2θ (°)  I_rel  h k l
35.90  100.0  1 1 2
34.29  96.7  3 1 -2
33.16  72.3  3 1 1
42.52  55.6  0 2 0
36.96  42.2  5 1 0
34.51  29.4  6 0 -1
32.90  26.2  1 1 -2
37.75  26.1  6 0 -2
27.68  25.5  3 1 0
32.39  22.3  2 0 2
40.03  19.7  0 0 3
42.73  19.6  6 0 1

Cell and atoms:
```
data_Dy2Ho2InCu2Ge4
_cell_length_a 15.616
_cell_length_b 4.252
_cell_length_c 7.119
_cell_angle_alpha 90.00
_cell_angle_beta 108.32
_cell_angle_gamma 90.00
_symmetry_space_group_name_H-M 'C 1 2/m 1'
_symmetry_Int_Tables_number 12
_symmetry_space_group_name_Hall '-C 2y'
loop_
_atom_site_label
_atom_site_type_symbol
_atom_site_fract_x
_atom_site_fract_y
_atom_site_fract_z
Dy1 Dy 0.090 0.000 0.384
Ho1 Ho 0.152 0.000 0.931
In1 In 0.000 0.500 0.000
Cu1 Cu 0.217 0.500 0.638
Ge1 Ge 0.063 0.500 0.661
Ge2 Ge 0.199 0.500 0.250
```

=====

Record 6
For K3HoCl6, a structure optimized by DFT (PBE) gives the computed XRD peak list in this record (Cu Kα, 1.54184 Å).
Intensities are scaled so that the largest is 100.

Most intense lines, 2θ = 10–90°, in order of falling intensity:
2θ (°)  I_rel  h k l
13.96  100.0  0 1 1
16.37  84.0  1 1 -1
23.26  67.6  1 1 1
23.57  63.8  1 1 -3
33.08  57.9  2 2 -2
14.63  48.9  1 0 -2
42.02  43.0  2 0 -6
37.05  41.1  2 2 0
27.65  36.8  2 1 -1
41.45  36.3  3 1 -1
16.63  31.9  0 0 2
14.38  30.8  1 0 0

Cell and atoms:
```
data_K3HoCl6
_cell_length_a 7.450
_cell_length_b 7.890
_cell_length_c 12.896
_cell_angle_alpha 90.00
_cell_angle_beta 124.25
_cell_angle_gamma 90.00
_symmetry_space_group_name_H-M 'P 1 21/c 1'
_symmetry_Int_Tables_number 14
_symmetry_space_group_name_Hall '-P 2ybc'
loop_
_atom_site_label
_atom_site_type_symbol
_atom_site_fract_x
_atom_site_fract_y
_atom_site_fract_z
K1 K 0.000 0.000 0.000
K2 K 0.215 0.072 0.743
Ho1 Ho 0.500 0.000 0.500
Cl1 Cl 0.160 0.181 0.443
Cl2 Cl 0.254 0.725 0.423
Cl3 Cl 0.402 0.056 0.272
```

=====

Record 7
For PdPtSeO, a structure optimized by DFT (PBE) gives the computed XRD peak list in this record (Cu Kα, 1.54184 Å).
Intensities are scaled so that the largest is 100.

Most intense lines, 2θ = 10–90°, in order of falling intensity:
2θ (°)  I_rel  h k l
38.74  100.0  1 1 2
39.10  75.0  2 0 0
27.37  69.5  1 1 0
13.35  67.8  0 0 1
49.84  46.0  1 1 3
70.60  34.9  3 1 2
56.48  25.3  2 2 0
78.63  23.7  3 1 3
23.51  20.7  1 0 1
41.49  16.9  2 0 1
26.88  16.0  0 0 2
48.09  14.0  2 0 2

Cell and atoms:
```
data_PdPtSeO
_cell_length_a 4.608
_cell_length_b 4.608
_cell_length_c 6.633
_cell_angle_alpha 90.00
_cell_angle_beta 90.00
_cell_angle_gamma 90.00
_symmetry_space_group_name_H-M 'P 4/n m m'
_symmetry_Int_Tables_number 129
loop_
_symmetry_equiv_pos_as_xyz
'x,y,z'
'-x,-y,-z'
'-y+1/2,x,z'
'y+1/2,-x,-z'
'-x+1/2,-y+1/2,z'
'x+1/2,y+1/2,-z'
'y,-x+1/2,z'
'-y,x+1/2,-z'
'x+1/2,-y,-z'
'-x+1/2,y,z'
'-y,-x,-z'
'y,x,z'
'-x,y+1/2,-z'
'x,-y+1/2,z'
'y+1/2,x+1/2,-z'
'-y+1/2,-x+1/2,z'
loop_
_atom_site_label
_atom_site_type_symbol
_atom_site_fract_x
_atom_site_fract_y
_atom_site_fract_z
Pd1 Pd 0.250 0.250 0.216
Pt1 Pt 0.250 0.250 0.799
Se1 Se 0.250 0.750 0.000
O1 O 0.250 0.250 0.515
```

=====

Record 8
For LaPrB4, a structure optimized by DFT (PBE) gives the computed XRD peak list in this record (Cu Kα, 1.54184 Å).
Intensities are scaled so that the largest is 100.

Most intense lines, 2θ = 10–90°, in order of falling intensity:
2θ (°)  I_rel  h k l
37.72  100.0  1 1 2
31.03  66.9  1 1 0
20.92  49.9  0 0 2
53.62  29.4  1 1 4
59.68  19.2  2 0 2
55.20  17.8  2 0 0
72.12  15.9  2 0 4
42.58  13.0  0 0 4
68.76  11.1  2 2 2
74.71  8.8  1 1 6
80.53  6.0  2 2 4
64.64  5.6  2 2 0

Cell and atoms:
```
data_LaPrB4
_cell_length_a 3.332
_cell_length_b 5.758
_cell_length_c 8.492
_cell_angle_alpha 90.00
_cell_angle_beta 90.00
_cell_angle_gamma 90.00
_symmetry_space_group_name_H-M 'I m m m'
_symmetry_Int_Tables_number 71
_symmetry_space_group_name_Hall '-I 2 2'
loop_
_atom_site_label
_atom_site_type_symbol
_atom_site_fract_x
_atom_site_fract_y
_atom_site_fract_z
La1 La 0.000 0.000 0.000
Pr1 Pr 0.000 0.000 0.500
B1 B 0.000 0.334 0.250
```

=====

Record 9
For K4ZnSi2O7, a structure optimized by DFT (PBE) gives the computed XRD peak list in this record (Cu Kα, 1.54184 Å).
Intensities are scaled so that the largest is 100.

Most intense lines, 2θ = 10–90°, in order of falling intensity:
2θ (°)  I_rel  h k l
36.85  100.0  2 1 -1
30.07  93.6  2 -1 0
35.28  57.6  1 -2 2
15.97  56.0  0 1 -1
29.20  54.2  1 1 -2
21.93  44.2  1 -1 1
28.79  43.7  1 -2 1
40.87  30.0  2 1 0
17.97  29.6  1 0 -1
31.46  25.5  0 2 0
14.88  24.8  0 0 1
49.38  21.3  1 3 -2

Cell and atoms:
```
data_K4ZnSi2O7
_cell_length_a 6.101
_cell_length_b 6.601
_cell_length_c 6.794
_cell_angle_alpha 112.30
_cell_angle_beta 100.80
_cell_angle_gamma 105.08
_symmetry_space_group_name_H-M 'P -1'
_symmetry_Int_Tables_number 2
_symmetry_space_group_name_Hall '-P 1'
loop_
_atom_site_label
_atom_site_type_symbol
_atom_site_fract_x
_atom_site_fract_y
_atom_site_fract_z
K1 K 0.082 0.050 0.287
K2 K 0.311 0.572 0.223
Zn1 Zn 0.500 0.000 0.000
Si1 Si 0.221 0.569 0.726
O1 O 0.000 0.500 0.500
O2 O 0.175 0.760 0.942
O3 O 0.224 0.332 0.742
O4 O 0.474 0.730 0.716
```

=====

Record 10
For DyHoIr2C2N2, a structure optimized by DFT (PBE) gives the computed XRD peak list in this record (Cu Kα, 1.54184 Å).
Intensities are scaled so that the largest is 100.

Most intense lines, 2θ = 10–90°, in order of falling intensity:
2θ (°)  I_rel  h k l
36.28  100.0  1 1 1
42.35  67.9  1 1 2
12.14  50.0  0 0 1
26.89  41.0  1 0 1
48.92  40.1  2 0 0
37.00  39.8  0 0 3
62.89  34.2  2 0 3
34.44  28.9  1 0 2
61.94  23.2  1 1 4
83.09  19.0  3 1 1
86.95  17.8  3 1 2
83.53  15.7  2 2 3

Cell and atoms:
```
data_DyHoIr2C2N2
_cell_length_a 3.723
_cell_length_b 3.723
_cell_length_c 7.288
_cell_angle_alpha 90.00
_cell_angle_beta 90.00
_cell_angle_gamma 90.00
_symmetry_space_group_name_H-M 'P 4 m m'
_symmetry_Int_Tables_number 99
_symmetry_space_group_name_Hall 'P 4 -2'
loop_
_atom_site_label
_atom_site_type_symbol
_atom_site_fract_x
_atom_site_fract_y
_atom_site_fract_z
Dy1 Dy 0.000 0.000 0.000
Ho1 Ho 0.500 0.500 0.333
Ir1 Ir 0.000 0.500 0.666
C1 C 0.000 0.000 0.507
C2 C 0.500 0.500 0.828
N1 N 0.000 0.000 0.315
N2 N 0.500 0.500 0.019
```

=====

Record 11
For Na2AgB2O5, a structure optimized by DFT (PBE) gives the computed XRD peak list in this record (Cu Kα, 1.54184 Å).
Intensities are scaled so that the largest is 100.

Most intense lines, 2θ = 10–90°, in order of falling intensity:
2θ (°)  I_rel  h k l
19.45  100.0  1 1 -1
22.53  92.9  0 2 1
34.06  92.1  1 3 0
38.22  81.3  1 1 3
20.28  79.4  0 0 2
25.21  71.5  1 1 -2
36.88  64.0  0 2 3
44.69  59.8  2 2 -3
36.73  59.2  2 2 -1
22.14  58.7  1 1 1
56.55  41.6  3 3 0
33.32  39.9  1 1 -3

Cell and atoms:
```
data_Na2AgB2O5
_cell_length_a 5.948
_cell_length_b 8.841
_cell_length_c 8.904
_cell_angle_alpha 90.00
_cell_angle_beta 100.35
_cell_angle_gamma 90.00
_symmetry_space_group_name_H-M 'C 1 2/c 1'
_symmetry_Int_Tables_number 15
_symmetry_space_group_name_Hall '-C 2yc'
loop_
_atom_site_label
_atom_site_type_symbol
_atom_site_fract_x
_atom_site_fract_y
_atom_site_fract_z
Na1 Na 0.031 0.209 0.080
Ag1 Ag 0.000 0.146 0.750
B1 B 0.140 0.474 0.657
O1 O 0.000 0.459 0.250
O2 O 0.197 0.326 0.656
O3 O 0.243 0.429 0.066
```

=====

Record 12
For NiPSe3, a structure optimized by DFT (PBE) gives the computed XRD peak list in this record (Cu Kα, 1.54184 Å).
Intensities are scaled so that the largest is 100.

Most intense lines, 2θ = 10–90°, in order of falling intensity:
2θ (°)  I_rel  h k l
34.27  100.0  1 3 1
13.45  62.6  0 0 1
51.39  50.9  0 6 0
34.40  49.2  2 0 -2
30.40  47.1  1 3 -1
27.09  35.4  0 0 2
47.22  32.0  1 3 -3
63.26  21.5  2 6 -2
29.35  18.8  2 0 -1
47.12  15.6  2 0 2
58.99  13.0  0 6 2
79.24  12.0  3 3 3

Cell and atoms:
```
data_NiPSe3
_cell_length_a 6.153
_cell_length_b 10.680
_cell_length_c 6.888
_cell_angle_alpha 90.00
_cell_angle_beta 107.11
_cell_angle_gamma 90.00
_symmetry_space_group_name_H-M 'C 1 2/m 1'
_symmetry_Int_Tables_number 12
_symmetry_space_group_name_Hall '-C 2y'
loop_
_atom_site_label
_atom_site_type_symbol
_atom_site_fract_x
_atom_site_fract_y
_atom_site_fract_z
Ni1 Ni 0.000 0.167 0.000
P1 P 0.057 0.500 0.170
Se1 Se 0.219 0.000 0.234
Se2 Se 0.243 0.179 0.767
```

=====

Record 13
For Ho3Mg3TlIn2, a structure optimized by DFT (PBE) gives the computed XRD peak list in this record (Cu Kα, 1.54184 Å).
Intensities are scaled so that the largest is 100.

Most intense lines, 2θ = 10–90°, in order of falling intensity:
2θ (°)  I_rel  h k l
33.68  100.0  2 0 1
30.64  31.8  1 1 1
27.49  30.9  2 0 0
38.71  21.7  0 0 2
23.75  20.7  1 1 0
65.89  19.0  3 2 1
41.62  18.8  2 1 1
19.08  17.7  0 0 1
54.68  15.0  3 1 1
48.13  13.8  2 0 2
66.87  13.7  2 0 3
41.75  13.7  3 0 0

Cell and atoms:
```
data_Ho3Mg3TlIn2
_cell_length_a 7.4939
_cell_length_b 7.4939
_cell_length_c 4.6519
_cell_angle_alpha 90.00
_cell_angle_beta 90.00
_cell_angle_gamma 120.00
_symmetry_space_group_name_H-M 'P -6 2 m'
_symmetry_Int_Tables_number 189
_symmetry_space_group_name_Hall 'P -6 -2'
loop_
_atom_site_label
_atom_site_type_symbol
_atom_site_fract_x
_atom_site_fract_y
_atom_site_fract_z
Ho1 Ho 0.0000 0.5659 0.0000
Mg1 Mg 0.0000 0.2426 0.5000
Tl1 Tl 0.0000 0.0000 0.0000
In1 In 0.3333 0.6667 0.5000
```